The following is a calculated powder X-ray diffraction pattern of Ta2Ni4Pt3. It was derived from a DFT-relaxed cell (PBE, Alexandria), using Cu Kα.
Intensities are scaled so that the largest is 100.

Largest 10 diffraction maxima, low angle first, 2θ from 10° to 90°:
2θ 22.61, I = 11.0, (1 0 -1)
2θ 23.55, I = 11.1, (0 1 -1)
2θ 28.07, I = 8.5, (1 -1 1)
2θ 40.71, I = 100.0, (-1 2 1)
2θ 40.98, I = 33.6, (1 1 -2)
2θ 46.50, I = 23.1, (1 1 1)
2θ 47.12, I = 21.2, (1 -2 2)
2θ 48.69, I = 20.2, (-2 1 3)
2θ 68.59, I = 7.6, (0 3 -1)
2θ 82.27, I = 8.3, (0 3 2)

Atomic structure:
Lattice parameters (Å, degrees): 4.644 4.711 7.083 90.77 107.03 119.39
Space group P-1 (No. 2)
Inequivalent atoms, fractional coordinates:
Ta1 0.195 0.451 0.320 (multiplicity 2)
Ni1 0.123 0.218 0.659 (multiplicity 2)
Ni2 0.331 0.654 0.997 (multiplicity 2)
Pt1 0.000 0.000 0.000 (multiplicity 1)
Pt2 0.449 0.879 0.670 (multiplicity 2)